Structure and simulated powder X-ray diffraction pattern of Ce3InGe2Au6 (DFT lattice parameters and positions (PBE); a wavelength of 1.5418 Å).
Intensities are scaled so that the largest is 100.

Atomic structure:
```
data_Ce3InGe2Au6
_cell_length_a 6.2679
_cell_length_b 6.2679
_cell_length_c 8.4497
_cell_angle_alpha 90.00
_cell_angle_beta 90.00
_cell_angle_gamma 120.00
_symmetry_space_group_name_H-M 'P 1'
_symmetry_Int_Tables_number 1
_symmetry_space_group_name_Hall 'P 1'
loop_
_atom_site_label
_atom_site_type_symbol
_atom_site_fract_x
_atom_site_fract_y
_atom_site_fract_z
Ce1 Ce 0.0000 0.0000 0.0000
Ce2 Ce 0.3333 0.6667 0.6411
Ce3 Ce 0.6667 0.3333 0.3589
In1 In 0.0000 0.0000 0.5000
Ge1 Ge 0.3333 0.6667 0.0219
Ge2 Ge 0.6667 0.3333 0.9781
Au1 Au 0.1807 0.3614 0.2694
Au2 Au 0.1807 0.8193 0.2694
Au3 Au 0.3614 0.1807 0.7306
Au4 Au 0.6386 0.8193 0.2694
Au5 Au 0.8193 0.1807 0.7306
Au6 Au 0.8193 0.6386 0.7306
```

Main lines, low angle first (2θ from 10° to 80°):
- 2θ 19.44, d 4.567, rel. 18
- 2θ 21.03, d 4.225, rel. 27
- 2θ 33.00, d 2.714, rel. 12
- 2θ 34.72, d 2.584, rel. 100
- 2θ 35.67, d 2.517, rel. 34
- 2θ 35.92, d 2.500, rel. 15
- 2θ 39.46, d 2.283, rel. 45
- 2θ 46.46, d 1.954, rel. 30
- 2θ 58.94, d 1.567, rel. 25
- 2θ 63.18, d 1.472, rel. 13